This entry pairs a crystal structure of AgIr2 with its theoretical powder diffraction line list. Radiation: Cu Kα (weighted mean of Kα1 and Kα2). Structure: a structure optimized by DFT (PBE).
Intensities are scaled so that the largest is 100.

Top 10 peaks for 5 to 70 degrees two-theta, in order of rising 2θ:
2theta	d [Å]	I/Imax
18.99	4.673	36
37.39	2.405	100
40.47	2.229	95
43.85	2.065	64
45.07	2.012	16
48.08	1.893	29
54.77	1.676	11
59.77	1.547	8
67.09	1.395	36
68.00	1.379	10

Structural model:
Cell lengths 2.757, 3.785, 9.345 Å; angles 90.00, 90.00, 90.00 degrees
Space group Immm (No. 71)
Asymmetric unit:
Ag 0.000 0.000 0.000 [2 per cell]
Ir 0.000 0.000 0.309 [4 per cell]

=====

This entry pairs a crystal structure of TlPb3Au3 with its theoretical powder diffraction line list. Radiation: Cu Kα (weighted mean of Kα1 and Kα2). Structure: a structure optimized by DFT (PBE).
Intensities are scaled so that the largest is 100.

Top 10 peaks for 5 to 70 degrees two-theta, in order of rising 2θ:
2theta	d [Å]	I/Imax
27.67	3.224	80
32.19	2.781	34
33.14	2.703	100
36.00	2.495	32
36.70	2.449	18
36.87	2.438	17
37.32	2.410	29
40.52	2.226	17
44.45	2.038	15
48.19	1.888	15

Structural model:
Cell lengths 7.411, 12.869, 8.057 Å; angles 90.00, 101.19, 90.00 degrees
Space group C2/m (No. 12)
Asymmetric unit:
Tl 0.235 0.000 0.484 [4 per cell]
Pb 0.000 0.211 0.000 [4 per cell]
Pb 0.000 0.257 0.500 [4 per cell]
Pb 0.129 0.500 0.866 [4 per cell]
Au 0.042 0.000 0.830 [4 per cell]
Au 0.208 0.348 0.244 [8 per cell]

=====

This entry pairs a crystal structure of ZrTl with its theoretical powder diffraction line list. Radiation: Cu Kα (weighted mean of Kα1 and Kα2). Structure: a structure optimized by DFT (PBE).
Intensities are scaled so that the largest is 100.

Top 10 peaks for 5 to 70 degrees two-theta, in order of rising 2θ:
2theta	d [Å]	I/Imax
22.43	3.963	22
33.20	2.699	53
34.31	2.614	54
35.04	2.561	100
37.50	2.398	92
48.48	1.878	37
55.86	1.646	17
61.92	1.499	19
63.55	1.464	20
67.22	1.393	19

Structural model:
Cell lengths 5.874, 5.228, 6.077 Å; angles 90.00, 90.00, 90.00 degrees
Space group Pnma (No. 62)
Asymmetric unit:
Zr 0.124 0.250 0.124 [4 per cell]
Tl 0.114 0.250 0.630 [4 per cell]

=====

This entry pairs a crystal structure of Tb13Y2 with its theoretical powder diffraction line list. Radiation: Cu Kα (weighted mean of Kα1 and Kα2). Structure: a structure optimized by DFT (PBE).
Intensities are scaled so that the largest is 100.

Top 10 peaks for 5 to 70 degrees two-theta, in order of rising 2θ:
2theta	d [Å]	I/Imax
31.54	2.836	94
31.77	2.816	100
45.35	2.000	23
45.44	1.996	11
52.50	1.743	8
56.43	1.631	23
56.53	1.628	18
56.63	1.625	13
62.66	1.483	24
66.39	1.408	12

Structural model:
Cell lengths 6.627, 8.960, 8.960 Å; angles 66.03, 81.73, 81.74 degrees
Space group P-1 (No. 2)
Asymmetric unit:
Tb 0.000 0.000 0.000 [1 per cell]
Tb 0.104 0.442 0.758 [2 per cell]
Tb 0.197 0.201 0.200 [2 per cell]
Tb 0.294 0.628 0.977 [2 per cell]
Tb 0.311 0.956 0.641 [2 per cell]
Tb 0.398 0.400 0.401 [2 per cell]
Tb 0.491 0.168 0.836 [2 per cell]
Y 0.095 0.778 0.425 [2 per cell]

=====

This entry pairs a crystal structure of K2ZnCrH6 with its theoretical powder diffraction line list. Radiation: Cu Kα (weighted mean of Kα1 and Kα2). Structure: a structure optimized by DFT (PBE).
Intensities are scaled so that the largest is 100.

Top 10 peaks for 5 to 70 degrees two-theta, in order of rising 2θ:
2theta	d [Å]	I/Imax
19.86	4.470	1
22.98	3.871	6
32.72	2.737	100
38.57	2.334	1
40.36	2.235	1
46.95	1.935	18
51.45	1.776	1
52.89	1.731	3
58.40	1.580	33
68.57	1.369	10

Structural model:
Cell lengths 5.477, 5.477, 7.734 Å; angles 90.00, 90.00, 90.00 degrees
Space group I4/mmm (No. 139)
Asymmetric unit:
K 0.000 0.500 0.250 [4 per cell]
Zn 0.000 0.000 0.000 [2 per cell]
Cr 0.000 0.000 0.500 [2 per cell]
H 0.000 0.000 0.256 [4 per cell]
H 0.244 0.244 0.500 [8 per cell]

=====

This entry pairs a crystal structure of Rb2MnHgS4 with its theoretical powder diffraction line list. Radiation: Cu Kα (weighted mean of Kα1 and Kα2). Structure: a structure optimized by DFT (PBE).
Intensities are scaled so that the largest is 100.

Top 10 peaks for 5 to 70 degrees two-theta, in order of rising 2θ:
2theta	d [Å]	I/Imax
15.27	5.803	87
15.50	5.715	55
15.68	5.652	85
24.93	3.572	56
26.85	3.321	100
30.32	2.948	73
31.36	2.852	78
35.69	2.516	64
45.67	1.986	62
50.47	1.808	48

Structural model:
Cell lengths 6.624, 12.943, 23.212 Å; angles 90.00, 90.00, 90.00 degrees
Space group Fddd (No. 70, origin choice 2)
Asymmetric unit:
Rb 0.125 0.125 0.305 [16 per cell]
Mn 0.125 0.125 0.625 [8 per cell]
Hg 0.125 0.125 0.125 [8 per cell]
S 0.074 0.283 0.823 [32 per cell]

=====

This entry pairs a crystal structure of Cs2In12Sn7 with its theoretical powder diffraction line list. Radiation: Cu Kα (weighted mean of Kα1 and Kα2). Structure: a structure optimized by DFT (PBE).
Intensities are scaled so that the largest is 100.

Top 10 peaks for 5 to 70 degrees two-theta, in order of rising 2θ:
2theta	d [Å]	I/Imax
24.46	3.639	13
28.28	3.155	100
30.61	2.920	15
34.85	2.574	26
35.91	2.501	15
36.62	2.454	22
37.79	2.380	38
40.48	2.228	15
62.58	1.484	13
64.53	1.444	13

Structural model:
Cell lengths 12.5876, 12.5876, 4.9078 Å; angles 90.00, 90.00, 120.00 degrees
Space group P-3 (No. 147)
Asymmetric unit:
Cs 0.3333 0.6667 0.2495 [2 per cell]
In 0.0661 0.4324 0.7545 [6 per cell]
In 0.1197 0.2478 0.2267 [6 per cell]
Sn 0.0000 0.0000 0.5000 [1 per cell]
Sn 0.0968 0.6991 0.7411 [6 per cell]

=====

This entry pairs a crystal structure of PrZn12Pt4 with its theoretical powder diffraction line list. Radiation: Cu Kα (weighted mean of Kα1 and Kα2). Structure: a structure optimized by DFT (PBE).
Intensities are scaled so that the largest is 100.

Top 10 peaks for 5 to 70 degrees two-theta, in order of rising 2θ:
2theta	d [Å]	I/Imax
20.31	4.372	55
28.88	3.091	100
32.38	2.765	75
35.57	2.524	20
38.53	2.337	35
41.30	2.186	18
46.45	1.955	74
51.18	1.785	85
53.43	1.715	30
67.79	1.382	30

Structural model:
Cell lengths 8.743, 8.743, 8.743 Å; angles 90.00, 90.00, 90.00 degrees
Space group Im-3 (No. 204)
Asymmetric unit:
Pr 0.000 0.000 0.000 [2 per cell]
Zn 0.000 0.153 0.352 [24 per cell]
Pt 0.250 0.250 0.250 [8 per cell]

=====

This entry pairs a crystal structure of TlPd4Au3 with its theoretical powder diffraction line list. Radiation: Cu Kα (weighted mean of Kα1 and Kα2). Structure: a structure optimized by DFT (PBE).
Intensities are scaled so that the largest is 100.

Top 10 peaks for 5 to 70 degrees two-theta, in order of rising 2θ:
2theta	d [Å]	I/Imax
26.65	3.345	12
36.02	2.494	7
37.81	2.380	20
38.29	2.351	31
39.04	2.307	9
39.78	2.266	100
54.90	1.672	14
60.06	1.540	8
67.11	1.395	6
69.59	1.351	7

Structural model:
Cell lengths 9.403, 6.162, 4.759 Å; angles 90.00, 90.00, 90.00 degrees
Space group Pmma (No. 51)
Asymmetric unit:
Tl 0.000 0.000 0.000 [2 per cell]
Pd 0.000 0.252 0.500 [4 per cell]
Pd 0.250 0.252 0.078 [4 per cell]
Au 0.000 0.500 0.000 [2 per cell]
Au 0.250 0.000 0.566 [2 per cell]
Au 0.250 0.500 0.578 [2 per cell]

=====

This entry pairs a crystal structure of PtS5 with its theoretical powder diffraction line list. Radiation: Cu Kα (weighted mean of Kα1 and Kα2). Structure: a structure optimized by DFT (PBE).
Intensities are scaled so that the largest is 100.

Top 10 peaks for 5 to 70 degrees two-theta, in order of rising 2θ:
2theta	d [Å]	I/Imax
13.56	6.532	64
18.78	4.726	100
19.74	4.498	41
22.20	4.005	23
23.02	3.863	25
23.23	3.829	20
26.99	3.303	22
27.86	3.202	26
33.21	2.697	24
36.08	2.489	22

Structural model:
Cell lengths 5.389, 13.064, 5.702 Å; angles 90.00, 117.25, 90.00 degrees
Space group P2_1/m (No. 11)
Asymmetric unit:
Pt 0.161 0.250 0.301 [2 per cell]
S 0.144 0.750 0.553 [2 per cell]
S 0.383 0.071 0.949 [4 per cell]
S 0.479 0.130 0.308 [4 per cell]